Simulated powder diffractogram
Compound: Mg2Mo3O8
Radiation: λ = 1.5418 Å (Cu Kα)
Structure: a cell relaxed with GGA+U
No peak broadening, texture or thermal motion is included.

Top 10 peaks for 10° ≤ 2θ ≤ 80°, in order of rising 2θ:
2theta, Rel. int.
17.64, 100
27.11, 27
30.26, 20
34.47, 24
34.67, 22
35.98, 51
36.50, 28
45.41, 39
55.48, 25
61.02, 19

Cell and atoms:
```
Mg2Mo3O8
1.0
5.373 -3.041 0.000
5.373 3.041 0.000
-1.852 0.000 4.923
Mg Mo O
2 3 8
Direct
0.221 0.221 0.149 Mg
0.779 0.779 0.851 Mg
0.233 0.767 0.500 Mo
0.500 0.500 0.000 Mo
0.767 0.233 0.500 Mo
0.117 0.117 0.426 O
0.149 0.614 0.087 O
0.386 0.851 0.913 O
0.391 0.391 0.571 O
0.609 0.609 0.429 O
0.614 0.149 0.087 O
0.851 0.386 0.913 O
0.883 0.883 0.574 O
```